This entry pairs a crystal structure of Ac2Ag2Hg3 with its simulated X-ray diffraction stick pattern. Radiation: copper Kα. Structure: a crystal structure in Alexandria, relaxed with GGA-PBE.

The 10 most intense peaks (10° ≤ 2θ ≤ 90°), low angle first:
2θ/deg	I (rel.)
29.79	81
31.03	100
33.58	24
36.55	43
40.46	16
40.78	34
42.04	19
55.90	25
62.01	14
63.66	20

Cell lengths 10.902, 10.902, 8.308 Å; angles 90.00, 90.00, 156.58 degrees
Element x y z (fractional)
Ac 0.065 0.935 0.750
Ac 0.160 0.840 0.250
Ac 0.840 0.160 0.750
Ac 0.935 0.065 0.250
Ag 0.314 0.686 0.057
Ag 0.314 0.686 0.443
Ag 0.686 0.314 0.557
Ag 0.686 0.314 0.943
Hg 0.226 0.774 0.750
Hg 0.440 0.560 0.573
Hg 0.440 0.560 0.927
Hg 0.560 0.440 0.073
Hg 0.560 0.440 0.427
Hg 0.774 0.226 0.250

This entry pairs a crystal structure of Ac3Ag7Hg2 with its simulated X-ray diffraction stick pattern. Radiation: copper Kα. Structure: a crystal structure in Alexandria, relaxed with GGA-PBE.

The 10 most intense peaks (10° ≤ 2θ ≤ 90°), low angle first:
2θ/deg	I (rel.)
26.21	64
28.42	63
30.21	64
31.62	88
32.72	81
33.09	58
34.03	48
34.98	74
35.80	63
39.56	100

Cell lengths 5.144, 4.554, 13.781 Å; angles 90.00, 96.44, 90.00 degrees
Element x y z (fractional)
Ac 0.000 0.000 0.000
Ac 0.335 0.500 0.647
Ac 0.665 0.500 0.353
Ag 0.210 0.500 0.161
Ag 0.240 0.000 0.464
Ag 0.448 0.000 0.844
Ag 0.500 0.500 0.000
Ag 0.552 0.000 0.156
Ag 0.760 0.000 0.536
Ag 0.790 0.500 0.839
Hg 0.066 0.000 0.265
Hg 0.934 0.000 0.735

This entry pairs a crystal structure of Ac4Ag5Hg2 with its simulated X-ray diffraction stick pattern. Radiation: copper Kα. Structure: a crystal structure in Alexandria, relaxed with GGA-PBE.

The 10 most intense peaks (10° ≤ 2θ ≤ 90°), low angle first:
2θ/deg	I (rel.)
30.07	100
30.59	86
31.06	70
36.68	47
37.88	33
39.13	25
43.53	32
48.11	19
49.48	19
58.20	26

Cell lengths 8.237, 4.158, 9.526 Å; angles 90.00, 94.13, 90.00 degrees
Element x y z (fractional)
Ac 0.227 0.000 0.359
Ac 0.264 0.000 0.865
Ac 0.736 0.000 0.135
Ac 0.773 0.000 0.641
Ag 0.000 0.500 0.000
Ag 0.082 0.500 0.634
Ag 0.375 0.500 0.111
Ag 0.625 0.500 0.889
Ag 0.918 0.500 0.366
Hg 0.427 0.500 0.631
Hg 0.573 0.500 0.369